The following is a simulated X-ray powder pattern of Dy2ZnSiGe. It was derived from the PBE geometry in Alexandria, using Cu Kα.
Kinematic intensities with the Lorentz-polarization factor, no thermal factor.

Structure:
```
data_Dy2ZnSiGe
_chemical_formula_sum 'Dy4 Zn2 Si2 Ge2'
_symmetry_space_group_name_H-M 'P 1'
_symmetry_Int_Tables_number 1
_symmetry_space_group_name_Hall 'P 1'
_cell_length_a 6.275
_cell_length_b 4.194
_cell_length_c 8.511
_cell_angle_alpha 90.00
_cell_angle_beta 92.38
_cell_angle_gamma 90.00
loop_
_atom_site_label
_atom_site_fract_x
_atom_site_fract_y
_atom_site_fract_z
Dy1 0.174 0.250 0.359
Dy2 0.248 0.250 0.892
Dy3 0.752 0.750 0.108
Dy4 0.826 0.750 0.641
Zn1 0.494 0.750 0.378
Zn2 0.506 0.250 0.622
Si1 0.279 0.750 0.627
Si2 0.721 0.250 0.373
Ge1 0.242 0.750 0.127
Ge2 0.758 0.250 0.873
```

Main lines, in order of falling intensity (2θ from 15° to 90°):
(hkl)  two_theta  I (rel.)
0 1 2  29.93  100
2 1 -2  41.14  69
2 1 2  42.41  50
1 1 0  25.55  47
2 0 0  28.47  38
0 2 0  43.14  38
0 0 4  42.52  35
1 0 -2  24.81  29

---

The following is a simulated X-ray powder pattern of CuPtS. It was derived from the PBE geometry in Alexandria, using Cu Kα.
Kinematic intensities with the Lorentz-polarization factor, no thermal factor.

Structure:
```
data_CuPtS
_chemical_formula_sum 'Cu4 Pt4 S4'
_symmetry_space_group_name_H-M 'P 1'
_symmetry_Int_Tables_number 1
_symmetry_space_group_name_Hall 'P 1'
_cell_length_a 8.861
_cell_length_b 3.538
_cell_length_c 6.570
_cell_angle_alpha 90.00
_cell_angle_beta 93.28
_cell_angle_gamma 90.00
loop_
_atom_site_label
_atom_site_fract_x
_atom_site_fract_y
_atom_site_fract_z
Cu1 0.187 0.000 0.359
Cu2 0.313 0.500 0.641
Cu3 0.687 0.500 0.359
Cu4 0.813 0.000 0.641
Pt1 0.000 0.000 0.000
Pt2 0.000 0.500 0.500
Pt3 0.500 0.000 0.500
Pt4 0.500 0.500 0.000
S1 0.109 0.500 0.825
S2 0.391 0.000 0.175
S3 0.609 0.000 0.825
S4 0.891 0.500 0.175
```

Main lines, in order of falling intensity (2θ from 15° to 90°):
(hkl)  two_theta  I (rel.)
1 1 -1  30.17  100
2 0 0  20.07  56
2 0 2  34.98  47
3 1 -1  41.61  47
3 1 1  42.80  40
1 1 -3  49.59  33
0 0 2  27.19  30
1 1 3  50.64  20

---

What did the first record say?
The following is a simulated X-ray powder pattern of Dy2ZnSiGe. It was derived from the PBE geometry in Alexandria, using Cu Kα.
Kinematic intensities with the Lorentz-polarization factor, no thermal factor.

Structure:
```
data_Dy2ZnSiGe
_chemical_formula_sum 'Dy4 Zn2 Si2 Ge2'
_symmetry_space_group_name_H-M 'P 1'
_symmetry_Int_Tables_number 1
_symmetry_space_group_name_Hall 'P 1'
_cell_length_a 6.275
_cell_length_b 4.194
_cell_length_c 8.511
_cell_angle_alpha 90.00
_cell_angle_beta 92.38
_cell_angle_gamma 90.00
loop_
_atom_site_label
_atom_site_fract_x
_atom_site_fract_y
_atom_site_fract_z
Dy1 0.174 0.250 0.359
Dy2 0.248 0.250 0.892
Dy3 0.752 0.750 0.108
Dy4 0.826 0.750 0.641
Zn1 0.494 0.750 0.378
Zn2 0.506 0.250 0.622
Si1 0.279 0.750 0.627
Si2 0.721 0.250 0.373
Ge1 0.242 0.750 0.127
Ge2 0.758 0.250 0.873
```

Main lines, in order of falling intensity (2θ from 15° to 90°):
(hkl)  two_theta  I (rel.)
0 1 2  29.93  100
2 1 -2  41.14  69
2 1 2  42.41  50
1 1 0  25.55  47
2 0 0  28.47  38
0 2 0  43.14  38
0 0 4  42.52  35
1 0 -2  24.81  29